Entry 1:
This entry pairs a crystal structure of CaClF3 with its theoretical X-ray diffraction stick pattern. Radiation: a wavelength of 1.5418 Å. Structure: a crystal structure in Alexandria, relaxed with PBE.
Neutral-atom scattering factors, no anomalous dispersion.

Principal peaks in the range 10° ≤ 2θ ≤ 90°, low angle first:
11.0 deg, 8.050 Å, rel. 39.0, (0 0 1); 20.1 deg, 4.412 Å, rel. 24.2, (0 1 1); 22.1 deg, 4.025 Å, rel. 100.0, (0 0 2); 25.8 deg, 3.448 Å, rel. 33.2, (1 0 -1); 28.9 deg, 3.086 Å, rel. 53.3, (1 1 0); 29.2 deg, 3.059 Å, rel. 19.4, (0 2 0); 32.5 deg, 2.755 Å, rel. 21.7, (0 2 -2); 39.6 deg, 2.276 Å, rel. 24.7, (1 0 -3); 40.3 deg, 2.238 Å, rel. 36.1, (1 1 2); 50.3 deg, 1.813 Å, rel. 46.9, (1 -3 1)

Atomic structure:
Unit cell a=3.650 b=6.281 c=8.309 alpha=103.02 beta=95.89 gamma=90.15
Space group P-1 (No. 2)
One atom of each set of equivalent atoms:
Ca 0.244 0.237 0.468 x2
Cl 0.053 0.333 0.007 x2
F 0.224 0.573 0.397 x2
F 0.246 0.168 0.135 x2
F 0.278 0.979 0.627 x2



Entry 2:
This entry pairs a crystal structure of CaCl3F12 with its theoretical X-ray diffraction stick pattern. Radiation: a wavelength of 1.5418 Å. Structure: a crystal structure in Alexandria, relaxed with PBE.
Neutral-atom scattering factors, no anomalous dispersion.

Principal peaks in the range 10° ≤ 2θ ≤ 90°, low angle first:
13.9 deg, 6.376 Å, rel. 23.2, (0 1 2); 21.5 deg, 4.133 Å, rel. 10.6, (2 0 2); 22.5 deg, 3.958 Å, rel. 100.0, (1 1 3); 27.1 deg, 3.288 Å, rel. 17.1, (1 2 2); 30.9 deg, 2.892 Å, rel. 34.8, (0 0 6); 35.2 deg, 2.552 Å, rel. 20.0, (1 1 6); 40.4 deg, 2.235 Å, rel. 17.3, (1 3 4); 47.0 deg, 1.932 Å, rel. 17.5, (3 2 4); 50.4 deg, 1.809 Å, rel. 9.7, (3 3 0); 63.9 deg, 1.457 Å, rel. 9.8, (2 5 3)

Atomic structure:
Unit cell a=10.8541 b=10.8541 c=17.3533 alpha=90.00 beta=90.00 gamma=120.00
Space group R3c (No. 161, hexagonal axes)
One atom of each set of equivalent atoms:
Ca 0.0000 0.0000 0.0000 x6
Cl 0.0021 0.3303 0.2505 x18
F 0.0446 0.5126 0.9115 x18
F 0.0536 0.1927 0.5752 x18
F 0.1791 0.3885 0.9239 x18
F 0.1903 0.0468 0.9243 x18



Entry 3:
This entry pairs a crystal structure of Ca2Cl3F with its theoretical X-ray diffraction stick pattern. Radiation: a wavelength of 1.5418 Å. Structure: a crystal structure in Alexandria, relaxed with PBE.
Neutral-atom scattering factors, no anomalous dispersion.

Principal peaks in the range 10° ≤ 2θ ≤ 90°, low angle first:
12.4 deg, 7.133 Å, rel. 35.7, (2 0 -1); 18.1 deg, 4.903 Å, rel. 61.7, (2 0 -2); 25.2 deg, 3.527 Å, rel. 60.8, (1 1 1); 27.6 deg, 3.227 Å, rel. 76.9, (1 1 -2); 31.2 deg, 2.863 Å, rel. 100.0, (1 1 2); 34.5 deg, 2.603 Å, rel. 44.1, (1 1 -3); 36.2 deg, 2.484 Å, rel. 28.9, (6 0 -1); 41.6 deg, 2.169 Å, rel. 56.5, (3 1 -4); 43.2 deg, 2.096 Å, rel. 53.3, (0 2 0); 43.7 deg, 2.072 Å, rel. 56.0, (5 1 1)

Atomic structure:
Unit cell a=15.162 b=4.193 c=10.182 alpha=90.00 beta=114.67 gamma=90.00
Space group C2/m (No. 12)
One atom of each set of equivalent atoms:
Ca 0.102 0.000 0.440 x4
Ca 0.142 0.500 0.819 x4
Cl 0.052 0.500 0.250 x4
Cl 0.158 0.000 0.000 x4
Cl 0.218 0.500 0.614 x4
F 0.068 0.000 0.644 x4



Entry 4:
This entry pairs a crystal structure of CaGaClF4 with its theoretical X-ray diffraction stick pattern. Radiation: a wavelength of 1.5418 Å. Structure: a crystal structure in Alexandria, relaxed with PBE.
Neutral-atom scattering factors, no anomalous dispersion.

Principal peaks in the range 10° ≤ 2θ ≤ 90°, low angle first:
13.0 deg, 6.785 Å, rel. 22.5, (0 0 1); 15.0 deg, 5.910 Å, rel. 22.7, (1 1 0); 18.6 deg, 4.763 Å, rel. 32.3, (2 0 -1); 24.1 deg, 3.700 Å, rel. 100.0, (0 2 0); 25.6 deg, 3.485 Å, rel. 35.8, (2 0 1); 26.3 deg, 3.393 Å, rel. 41.2, (0 0 2); 28.9 deg, 3.091 Å, rel. 43.0, (3 1 -1); 29.8 deg, 2.993 Å, rel. 28.2, (3 1 0); 39.9 deg, 2.262 Å, rel. 22.4, (1 1 -3); 45.4 deg, 1.996 Å, rel. 39.0, (3 3 -1)

Atomic structure:
Unit cell a=10.359 b=7.400 c=7.158 alpha=90.00 beta=108.57 gamma=90.00
Space group C2/m (No. 12)
One atom of each set of equivalent atoms:
Ca 0.207 0.000 0.123 x4
Ga 0.131 0.500 0.266 x4
Cl 0.015 0.000 0.762 x4
F 0.052 0.500 0.824 x4
F 0.187 0.500 0.529 x4
F 0.198 0.312 0.162 x8